Structure and computed X-ray diffraction stick pattern of AsPb5 (a structure optimized by DFT (GGA-PBE); CuKα).
Peak positions follow from Bragg's law for the DFT cell and can differ from measured ones.

Cell and atoms:
```
data_AsPb5
_chemical_formula_sum 'As1 Pb5'
_cell_length_a 5.9391
_cell_length_b 5.9391
_cell_length_c 5.7961
_cell_angle_alpha 90.00
_cell_angle_beta 90.00
_cell_angle_gamma 120.00
_symmetry_space_group_name_H-M 'P 1'
_symmetry_Int_Tables_number 1
_symmetry_space_group_name_Hall 'P 1'
loop_
_atom_site_label
_atom_site_fract_x
_atom_site_fract_y
_atom_site_fract_z
_atom_site_occupancy
As1 0.0000 0.0000 0.0000 1
Pb1 0.0000 0.6756 0.5000 1
Pb2 0.3244 0.3244 0.5000 1
Pb3 0.3333 0.6667 0.0000 1
Pb4 0.6667 0.3333 0.0000 1
Pb5 0.6756 0.0000 0.5000 1
```

The 10 most intense peaks (2θ from 10° to 90°), by angle:
2θ (°)	I_rel	h k l
30.1	234	1 1 0
30.9	283	0 0 2
33.9	1000	1 1 1
43.6	174	1 1 2
53.4	186	3 0 0
56.9	234	1 1 3
63.0	229	3 0 2
64.8	158	2 2 1
88.3	98	3 0 4
88.8	144	4 1 1